Computed XRD peak list
Compound: KSr4Ta3O12
Radiation: Cu Kα (λ = 1.5418 Å)
Structure: the PBE geometry in Alexandria

Crystal structure
Unit cell a=8.3833 b=8.3833 c=8.3833 alpha=90.00 beta=90.00 gamma=90.00
Space group Im-3m (No. 229)
One atom of each set of equivalent atoms:
1 K 0.0000 0.0000 0.0000 [2 per cell]
2 Sr 0.2500 0.2500 0.2500 [8 per cell]
3 Ta 0.0000 0.0000 0.5000 [6 per cell]
4 O 0.0000 0.0000 0.2756 [12 per cell]
5 O 0.0000 0.2500 0.5000 [12 per cell]

Main lines, low angle first (2θ from 10° to 90°):
Position (°2θ)  d_spacing  I_rel
30.15  2.964  100
43.16  2.096  31
53.55  1.711  40
62.69  1.482  19
71.13  1.326  18
86.97  1.120  22